1.
Theoretical PXRD pattern
Compound: La2Nb2N2O5
Radiation: Cu Kα, 1.54184 Å
Structure: a cell relaxed with GGA-PBE

Main lines, low angle first (5° ≤ 2θ ≤ 70°):
2θ/deg	intensity
26.2	45
27.4	26
28.9	100
30.6	29
31.3	44
31.8	74
41.3	27
45.2	29
56.0	20
56.1	20

Atomic structure:
```
La2Nb2N2O5
1.0
5.712 0.000 0.000
-0.017 8.027 0.000
-0.008 -2.006 13.614
La Nb N O
8 8 8 20
direct
0.000 0.000 0.000
0.009 0.495 0.973
0.021 0.380 0.486
0.088 0.855 0.449
0.495 0.444 0.756
0.508 0.942 0.785
0.527 0.071 0.267
0.585 0.578 0.309
0.006 0.192 0.763
0.026 0.783 0.194
0.038 0.310 0.199
0.498 0.254 0.000
0.499 0.739 0.995
0.530 0.120 0.552
0.535 0.644 0.550
0.990 0.690 0.759
0.192 0.283 0.058
0.198 0.750 0.062
0.306 0.591 0.448
0.436 0.900 0.576
0.566 0.494 0.982
0.696 0.696 0.699
0.798 0.633 0.464
0.940 0.546 0.181
0.071 0.946 0.767
0.090 0.051 0.183
0.198 0.595 0.657
0.199 0.221 0.653
0.278 0.252 0.855
0.293 0.806 0.285
0.296 0.679 0.860
0.323 0.340 0.267
0.332 0.129 0.436
0.425 0.993 0.960
0.594 0.392 0.579
0.693 0.155 0.699
0.703 0.215 0.106
0.712 0.838 0.102
0.790 0.179 0.893
0.797 0.768 0.897
0.802 0.855 0.303
0.821 0.305 0.313
0.824 0.095 0.490
0.923 0.446 0.792
```



2.
Theoretical PXRD pattern
Compound: VCuS4
Radiation: Cu Kα, 1.54184 Å
Structure: a cell relaxed with GGA-PBE

Main lines, low angle first (5° ≤ 2θ ≤ 70°):
2θ/deg	intensity
16.2	36
25.5	55
26.1	70
30.6	40
31.1	84
31.6	29
37.3	47
48.6	36
52.3	27
53.7	100

Atomic structure:
```
VCuS4
1.0
-3.335 3.496 4.822
3.335 -3.496 4.822
3.335 3.496 -4.822
V Cu S
2 2 8
direct
0.500 0.000 0.000
0.500 0.500 0.500
0.128 0.378 0.750
0.872 0.622 0.250
0.263 0.246 0.016
0.263 0.247 0.484
0.263 0.779 0.016
0.270 0.754 0.516
0.730 0.246 0.484
0.737 0.221 0.984
0.737 0.753 0.516
0.737 0.754 0.984
```



3.
Theoretical PXRD pattern
Compound: NaMg2S3O12
Radiation: Cu Kα, 1.54184 Å
Structure: a cell relaxed with GGA-PBE

Main lines, low angle first (5° ≤ 2θ ≤ 70°):
2θ/deg	intensity
23.7	100
25.0	4
28.5	5
31.5	22
31.7	11
35.8	8
41.6	6
45.3	5
48.4	13
56.0	4

Atomic structure:
```
NaMg2S3O12
1.0
7.532 -4.338 0.000
7.532 4.338 0.000
-5.022 0.000 7.512
Na Mg S O
2 4 6 24
direct
0.000 0.500 0.000
0.500 0.000 0.500
0.149 0.651 0.448
0.349 0.851 0.052
0.651 0.149 0.948
0.851 0.349 0.552
0.048 0.952 0.250
0.248 0.459 0.751
0.459 0.248 0.251
0.541 0.752 0.749
0.752 0.541 0.249
0.952 0.048 0.750
0.015 0.106 0.413
0.074 0.772 0.257
0.083 0.432 0.734
0.106 0.015 0.913
0.216 0.493 0.592
0.228 0.926 0.243
0.281 0.616 0.915
0.282 0.411 0.264
0.384 0.719 0.585
0.411 0.282 0.764
0.432 0.083 0.234
0.493 0.216 0.092
0.507 0.784 0.908
0.568 0.917 0.766
0.589 0.718 0.236
0.616 0.281 0.415
0.718 0.589 0.736
0.719 0.384 0.085
0.772 0.074 0.757
0.784 0.507 0.408
0.894 0.985 0.087
0.917 0.568 0.266
0.926 0.228 0.743
0.985 0.894 0.587
```



4.
Theoretical PXRD pattern
Compound: NaAuC2
Radiation: Cu Kα, 1.54184 Å
Structure: a cell relaxed with GGA-PBE

Main lines, low angle first (5° ≤ 2θ ≤ 70°):
2θ/deg	intensity
16.9	48
23.3	78
29.0	100
33.2	50
34.2	19
37.5	30
41.8	28
48.4	29
56.8	32
58.0	18

Atomic structure:
```
NaAuC2
1.0
3.811 0.000 0.000
0.000 3.811 0.000
0.000 0.000 5.246
Na Au C
1 1 2
direct
0.000 0.000 0.000
0.500 0.500 0.500
0.500 0.500 0.119
0.500 0.500 0.881
```